This entry pairs a crystal structure of Rb2Er4Cu4Te9 with its calculated powder diffraction line list. Radiation: copper Kα. Structure: a DFT-relaxed cell (GGA-PBE, OQMD).
Intensities are scaled so that the largest is 100.

Structure:
a b c (Å): 15.3341 4.3636 17.5553
angles (deg): 90.00 108.40 90.00
Space group C2/m (No. 12)
One atom of each set of equivalent atoms:
Rb1 0.0349 0.0000 0.2737 (multiplicity 4)
Er1 0.1537 0.5000 0.5574 (multiplicity 4)
Er2 0.2276 0.0000 0.1001 (multiplicity 4)
Cu1 0.0785 0.5000 0.9764 (multiplicity 4)
Cu2 0.2445 0.0000 0.7338 (multiplicity 4)
Te1 0.0000 0.0000 0.5000 (multiplicity 2)
Te2 0.1028 0.5000 0.1302 (multiplicity 4)
Te3 0.1355 0.0000 0.9211 (multiplicity 4)
Te4 0.1491 0.5000 0.7266 (multiplicity 4)
Te5 0.2020 0.5000 0.3981 (multiplicity 4)

Top 10 peaks for 2θ = 15–90°, in order of rising 2θ:
25.66°, d 3.472, I = 45, (2 0 -5); 26.87°, d 3.318, I = 75, (3 1 -1); 27.32°, d 3.265, I = 100, (3 1 -2); 27.50°, d 3.244, I = 56, (3 1 0); 28.80°, d 3.100, I = 50, (3 1 -3); 29.14°, d 3.065, I = 78, (3 1 1); 31.65°, d 2.827, I = 46, (3 1 2); 39.19°, d 2.298, I = 42, (6 0 1); 41.38°, d 2.182, I = 86, (0 2 0); 42.09°, d 2.147, I = 41, (3 1 -7)